1.
For CsInGe2Mo, a PBE-relaxed structure gives the calculated PXRD pattern in this record (λ = 1.5418 Å (Cu Kα)).
Peak positions follow from Bragg's law for the DFT cell and can differ from measured ones.

Atomic structure:
```
data_CsInGe2Mo
_cell_length_a 5.9584
_cell_length_b 5.9584
_cell_length_c 5.5187
_cell_angle_alpha 90.00
_cell_angle_beta 90.00
_cell_angle_gamma 90.00
_space_group_name_H-M_alt 'P 4/m m m'
_space_group_IT_number 123
_space_group_name_Hall '-P 4 2'
loop_
_atom_site_label
_atom_site_type_symbol
_atom_site_fract_x
_atom_site_fract_y
_atom_site_fract_z
Cs1 Cs 0.0000 0.0000 0.0000
In1 In 0.5000 0.5000 0.5000
Ge1 Ge 0.0000 0.5000 0.0000
Mo1 Mo 0.0000 0.0000 0.5000
```

Most intense lines, 10 to 80 degrees two-theta, low angle first:
h k l	two_theta	d_spacing	intensity
1 0 0	14.87	5.958	28
1 1 0	21.09	4.213	37
1 0 1	21.95	4.049	39
1 1 1	26.62	3.349	62
2 0 0	29.99	2.979	100
0 0 2	32.45	2.759	41
2 2 0	42.93	2.107	37
2 0 2	44.77	2.024	65
2 2 2	54.83	1.674	35
4 2 2	79.96	1.200	23

2.
For CsGe3Ir, a PBE-relaxed structure gives the calculated PXRD pattern in this record (λ = 1.5418 Å (Cu Kα)).
Peak positions follow from Bragg's law for the DFT cell and can differ from measured ones.

Atomic structure:
```
data_CsGe3Ir
_cell_length_a 9.7745
_cell_length_b 6.5844
_cell_length_c 8.3934
_cell_angle_alpha 90.00
_cell_angle_beta 99.07
_cell_angle_gamma 90.00
_space_group_name_H-M_alt 'P 1 21/c 1'
_space_group_IT_number 14
loop_
_space_group_symop_operation_xyz
'x,y,z'
'-x,-y,-z'
'-x,y+1/2,-z+1/2'
'x,-y+1/2,z+1/2'
loop_
_atom_site_label
_atom_site_type_symbol
_atom_site_fract_x
_atom_site_fract_y
_atom_site_fract_z
Cs1 Cs 0.1168 0.1584 0.2268
Ge1 Ge 0.2339 0.6951 0.0773
Ge2 Ge 0.3759 0.5959 0.3804
Ge3 Ge 0.3984 0.1068 0.5658
Ir1 Ir 0.4972 0.7290 0.6590
```

Most intense lines, 10 to 80 degrees two-theta, low angle first:
h k l	two_theta	d_spacing	intensity
2 0 0	18.38	4.826	52
2 1 -1	23.99	3.709	59
1 1 -2	25.84	3.447	100
0 2 0	27.08	3.292	57
2 1 2	33.53	2.673	61
3 1 -2	35.24	2.546	59
3 2 0	39.15	2.301	45
4 1 -2	42.54	2.125	50
1 1 -4	45.43	1.996	56
4 1 2	48.56	1.875	67

3.
For CsGe2Ir, a PBE-relaxed structure gives the calculated PXRD pattern in this record (λ = 1.5418 Å (Cu Kα)).
Peak positions follow from Bragg's law for the DFT cell and can differ from measured ones.

Atomic structure:
```
data_CsGe2Ir
_cell_length_a 6.7338
_cell_length_b 6.7338
_cell_length_c 12.6645
_cell_angle_alpha 90.00
_cell_angle_beta 90.00
_cell_angle_gamma 90.00
_space_group_name_H-M_alt 'I 41/a m d'
_space_group_IT_number 141
loop_
_space_group_symop_operation_xyz
'x,y,z'
'-x,-y,-z'
'-y+1/4,x+3/4,z+1/4'
'y+1/4,-x+3/4,-z+1/4'
'-x+1/2,-y,z+1/2'
'x+1/2,y,-z+1/2'
'y+1/4,-x+1/4,z+3/4'
'-y+1/4,x+1/4,-z+3/4'
'x,-y,-z'
'-x,y,z'
'-y+1/4,-x+1/4,-z+3/4'
'y+1/4,x+1/4,z+3/4'
'-x+1/2,y,-z+1/2'
'x+1/2,-y,z+1/2'
'y+1/4,x+3/4,-z+1/4'
'-y+1/4,-x+3/4,z+1/4'
'x+1/2,y+1/2,z+1/2'
'-x+1/2,-y+1/2,-z+1/2'
'-y+3/4,x+1/4,z+3/4'
'y+3/4,-x+1/4,-z+3/4'
'-x,-y+1/2,z'
'x,y+1/2,-z'
'y+3/4,-x+3/4,z+1/4'
'-y+3/4,x+3/4,-z+1/4'
'x+1/2,-y+1/2,-z+1/2'
'-x+1/2,y+1/2,z+1/2'
'-y+3/4,-x+3/4,-z+1/4'
'y+3/4,x+3/4,z+1/4'
'-x,y+1/2,-z'
'x,-y+1/2,z'
'y+3/4,x+1/4,-z+3/4'
'-y+3/4,-x+1/4,z+3/4'
loop_
_atom_site_label
_atom_site_type_symbol
_atom_site_fract_x
_atom_site_fract_y
_atom_site_fract_z
Cs1 Cs 0.0000 0.2500 0.3750
Ge1 Ge 0.0000 0.0000 0.0000
Ir1 Ir 0.0000 0.2500 0.8750
```

Most intense lines, 10 to 80 degrees two-theta, low angle first:
h k l	two_theta	d_spacing	intensity
1 0 1	14.90	5.946	38
1 1 2	23.37	3.806	100
2 0 0	26.47	3.367	37
2 0 2	30.06	2.973	12
2 0 4	39.05	2.307	26
3 1 2	44.91	2.018	35
1 1 6	47.10	1.930	15
2 2 4	47.80	1.903	32
4 0 0	54.51	1.683	11
3 1 6	61.90	1.499	14

Copy entry 3 word for word.
For CsGe2Ir, a PBE-relaxed structure gives the calculated PXRD pattern in this record (λ = 1.5418 Å (Cu Kα)).
Peak positions follow from Bragg's law for the DFT cell and can differ from measured ones.

Atomic structure:
```
data_CsGe2Ir
_cell_length_a 6.7338
_cell_length_b 6.7338
_cell_length_c 12.6645
_cell_angle_alpha 90.00
_cell_angle_beta 90.00
_cell_angle_gamma 90.00
_space_group_name_H-M_alt 'I 41/a m d'
_space_group_IT_number 141
loop_
_space_group_symop_operation_xyz
'x,y,z'
'-x,-y,-z'
'-y+1/4,x+3/4,z+1/4'
'y+1/4,-x+3/4,-z+1/4'
'-x+1/2,-y,z+1/2'
'x+1/2,y,-z+1/2'
'y+1/4,-x+1/4,z+3/4'
'-y+1/4,x+1/4,-z+3/4'
'x,-y,-z'
'-x,y,z'
'-y+1/4,-x+1/4,-z+3/4'
'y+1/4,x+1/4,z+3/4'
'-x+1/2,y,-z+1/2'
'x+1/2,-y,z+1/2'
'y+1/4,x+3/4,-z+1/4'
'-y+1/4,-x+3/4,z+1/4'
'x+1/2,y+1/2,z+1/2'
'-x+1/2,-y+1/2,-z+1/2'
'-y+3/4,x+1/4,z+3/4'
'y+3/4,-x+1/4,-z+3/4'
'-x,-y+1/2,z'
'x,y+1/2,-z'
'y+3/4,-x+3/4,z+1/4'
'-y+3/4,x+3/4,-z+1/4'
'x+1/2,-y+1/2,-z+1/2'
'-x+1/2,y+1/2,z+1/2'
'-y+3/4,-x+3/4,-z+1/4'
'y+3/4,x+3/4,z+1/4'
'-x,y+1/2,-z'
'x,-y+1/2,z'
'y+3/4,x+1/4,-z+3/4'
'-y+3/4,-x+1/4,z+3/4'
loop_
_atom_site_label
_atom_site_type_symbol
_atom_site_fract_x
_atom_site_fract_y
_atom_site_fract_z
Cs1 Cs 0.0000 0.2500 0.3750
Ge1 Ge 0.0000 0.0000 0.0000
Ir1 Ir 0.0000 0.2500 0.8750
```

Most intense lines, 10 to 80 degrees two-theta, low angle first:
h k l	two_theta	d_spacing	intensity
1 0 1	14.90	5.946	38
1 1 2	23.37	3.806	100
2 0 0	26.47	3.367	37
2 0 2	30.06	2.973	12
2 0 4	39.05	2.307	26
3 1 2	44.91	2.018	35
1 1 6	47.10	1.930	15
2 2 4	47.80	1.903	32
4 0 0	54.51	1.683	11
3 1 6	61.90	1.499	14